Diffraction record for NaAlSnP2SO12. The X-ray powder pattern is calculated, not measured: it uses a crystal structure in the Materials Project, relaxed with PBE and copper Kα.
Intensities are scaled so that the largest is 100.

Main lines, low angle first (10 to 80 degrees two-theta):
| Position (°2θ) | I/Imax |
| --- | --- |
| 14.3 | 100 |
| 19.9 | 49 |
| 20.7 | 82 |
| 23.9 | 46 |
| 24.0 | 82 |
| 28.8 | 38 |
| 31.7 | 36 |
| 31.8 | 35 |
| 32.0 | 37 |
| 36.3 | 39 |

Crystal structure
```
data_NaAlSnP2SO12
_chemical_formula_sum 'Na4 Al4 Sn4 P8 S4 O48'
_cell_length_a 14.8590
_cell_length_b 8.5660
_cell_length_c 8.9811
_cell_angle_alpha 90.00
_cell_angle_beta 123.99
_cell_angle_gamma 90.00
_symmetry_space_group_name_H-M 'C 1 c 1'
_symmetry_Int_Tables_number 9
loop_
_symmetry_equiv_pos_as_xyz
'x,y,z'
'x,-y,z+1/2'
'x+1/2,y+1/2,z'
'x+1/2,-y+1/2,z+1/2'
loop_
_atom_site_label
_atom_site_fract_x
_atom_site_fract_y
_atom_site_fract_z
Na1 0.0000 0.2413 0.0000
Al1 0.1523 0.2335 0.4320
Sn1 0.3544 0.2515 0.0487
P1 0.2480 0.0410 0.2392
P2 0.3971 0.3872 0.7381
S1 0.1068 0.4026 0.7378
O1 0.0114 0.3311 0.7276
O2 0.1064 0.4275 0.2622
O3 0.1093 0.3689 0.5803
O4 0.1717 0.1436 0.2630
O5 0.1789 0.0636 0.5745
O6 0.1971 0.3278 0.9062
O7 0.2934 0.3190 0.5732
O8 0.3264 0.0519 0.9134
O9 0.3284 0.1467 0.2254
O10 0.3982 0.3763 0.9117
O11 0.4056 0.4318 0.2254
O12 0.4994 0.3084 0.7675
```